Structure and theoretical X-ray diffraction stick pattern of AlMo2Br (DFT lattice parameters and positions (PBE); Cu Ka).
Intensities are scaled so that the largest is 100.

Crystal structure
```
data_AlMo2Br
_chemical_formula_sum 'Al1 Mo2 Br1'
_symmetry_space_group_name_H-M 'P 1'
_symmetry_Int_Tables_number 1
_cell_length_a 3.168
_cell_length_b 3.168
_cell_length_c 7.822
_cell_angle_alpha 90.00
_cell_angle_beta 90.00
_cell_angle_gamma 90.00
loop_
_symmetry_equiv_pos_as_xyz
'x,y,z'
loop_
_atom_site_label
_atom_site_type_symbol
_atom_site_fract_x
_atom_site_fract_y
_atom_site_fract_z
Al1 Al 0.000 0.000 0.000
Mo1 Mo 0.000 0.000 0.630
Mo2 Mo 0.500 0.500 0.818
Br1 Br 0.500 0.500 0.392
```

Main lines, sorted by position (2θ = 5–70°):
- 2θ = 11.3°, 7.822 Å, intensity 98, (0 0 1)
- 2θ = 36.5°, 2.462 Å, intensity 100, (1 0 2)
- 2θ = 40.3°, 2.240 Å, intensity 51, (1 1 0)
- 2θ = 42.0°, 2.153 Å, intensity 16, (1 1 1)
- 2θ = 45.0°, 2.013 Å, intensity 41, (1 0 3)
- 2θ = 46.4°, 1.956 Å, intensity 5, (0 0 4)
- 2θ = 58.3°, 1.584 Å, intensity 17, (2 0 0)
- 2θ = 59.0°, 1.564 Å, intensity 6, (0 0 5)
- 2θ = 59.6°, 1.552 Å, intensity 5, (2 0 1)
- 2θ = 63.1°, 1.473 Å, intensity 8, (1 1 4)